(1)
Starting from a crystal structure in the Materials Project, relaxed with PBE, the PXRD pattern of Ba5Er2ZrAl2O13 was calculated for copper Kα.
Intensities are scaled so that the largest is 1000.

Largest 6 diffraction maxima, low angle first, 10° ≤ 2θ ≤ 90°:
Position (°2θ)  I (rel.)  (hkl)
27.3  242  1 0 6
29.7  1000  1 1 0
30.2  645  1 0 7
42.9  318  2 0 7
52.7  201  3 0 0
53.0  261  2 1 7

Cell and atoms:
Unit cell a=6.017 b=6.017 c=25.171 alpha=90.00 beta=90.00 gamma=120.00
Atoms (fractional coordinates):
Ba: 0.000 0.000 0.137
Ba: 0.000 0.000 0.363
Ba: 0.000 0.000 0.637
Ba: 0.000 0.000 0.863
Ba: 0.333 0.667 0.041
Ba: 0.333 0.667 0.459
Ba: 0.333 0.667 0.750
Ba: 0.667 0.333 0.250
Ba: 0.667 0.333 0.541
Ba: 0.667 0.333 0.959
Er: 0.333 0.667 0.604
Er: 0.333 0.667 0.896
Er: 0.667 0.333 0.104
Er: 0.667 0.333 0.396
Zr: 0.000 0.000 0.000
Zr: 0.000 0.000 0.500
Al: 0.333 0.667 0.181
Al: 0.333 0.667 0.319
Al: 0.667 0.333 0.681
Al: 0.667 0.333 0.819
O: 0.010 0.505 0.158
O: 0.010 0.505 0.342
O: 0.163 0.326 0.550
O: 0.163 0.326 0.950
O: 0.163 0.837 0.550
O: 0.163 0.837 0.950
O: 0.326 0.163 0.050
O: 0.326 0.163 0.450
O: 0.333 0.667 0.250
O: 0.495 0.505 0.158
O: 0.495 0.505 0.342
O: 0.495 0.990 0.158
O: 0.495 0.990 0.342
O: 0.505 0.010 0.658
O: 0.505 0.010 0.842
O: 0.505 0.495 0.658
O: 0.505 0.495 0.842
O: 0.667 0.333 0.750
O: 0.674 0.837 0.550
O: 0.674 0.837 0.950
O: 0.837 0.163 0.050
O: 0.837 0.163 0.450
O: 0.837 0.674 0.050
O: 0.837 0.674 0.450
O: 0.990 0.495 0.658
O: 0.990 0.495 0.842

---

(2)
Starting from a crystal structure in the Materials Project, relaxed with PBE, the PXRD pattern of BiTeIr was calculated for copper Kα.
Intensities are scaled so that the largest is 1000.

Largest 6 diffraction maxima, low angle first, 10° ≤ 2θ ≤ 90°:
Position (°2θ)  I (rel.)  (hkl)
26.9  312  2 0 0
30.2  989  2 1 0
33.2  693  2 1 1
38.5  300  2 2 0
45.5  1000  3 1 1
51.7  408  3 1 2

Cell and atoms:
Unit cell a=6.618 b=6.618 c=6.618 alpha=90.00 beta=90.00 gamma=90.00
Atoms (fractional coordinates):
Bi: 0.131 0.131 0.131
Bi: 0.369 0.869 0.631
Bi: 0.631 0.369 0.869
Bi: 0.869 0.631 0.369
Te: 0.127 0.373 0.627
Te: 0.373 0.627 0.127
Te: 0.627 0.127 0.373
Te: 0.873 0.873 0.873
Ir: 0.006 0.506 0.994
Ir: 0.494 0.494 0.494
Ir: 0.506 0.994 0.006
Ir: 0.994 0.006 0.506

---

(3)
Starting from a crystal structure in the Materials Project, relaxed with PBE, the PXRD pattern of MgNb2P2O10 was calculated for copper Kα.
Intensities are scaled so that the largest is 1000.

Largest 6 diffraction maxima, low angle first, 10° ≤ 2θ ≤ 90°:
Position (°2θ)  I (rel.)  (hkl)
18.7  463  0 1 1
23.8  418  1 0 -1
24.8  784  1 1 0
25.2  415  1 0 1
26.0  750  0 0 2
27.0  1000  0 2 0

Cell and atoms:
Unit cell a=4.285 b=6.597 c=6.858 alpha=90.00 beta=93.52 gamma=90.00
Atoms (fractional coordinates):
Mg: 0.000 0.000 0.000
Nb: 0.079 0.500 0.751
Nb: 0.557 0.000 0.298
P: 0.327 0.500 0.266
P: 0.378 0.000 0.756
O: 0.049 0.000 0.280
O: 0.133 0.500 0.448
O: 0.136 0.500 0.067
O: 0.154 0.182 0.771
O: 0.154 0.818 0.771
O: 0.537 0.306 0.272
O: 0.537 0.694 0.272
O: 0.556 0.000 0.964
O: 0.602 0.000 0.597
O: 0.661 0.500 0.749

---

(4)
Starting from a crystal structure in the Materials Project, relaxed with PBE, the PXRD pattern of NdSiRu was calculated for copper Kα.
Intensities are scaled so that the largest is 1000.

Largest 6 diffraction maxima, low angle first, 10° ≤ 2θ ≤ 90°:
Position (°2θ)  I (rel.)  (hkl)
24.6  863  1 0 1
32.6  922  1 1 1
33.4  688  1 0 2
39.8  1000  1 1 2
42.7  707  2 0 0
59.1  330  2 0 3

Cell and atoms:
Unit cell a=4.235 b=4.235 c=6.943 alpha=90.00 beta=90.00 gamma=90.00
Atoms (fractional coordinates):
Nd: 0.250 0.250 0.178
Nd: 0.750 0.750 0.822
Si: 0.250 0.250 0.674
Si: 0.750 0.750 0.326
Ru: 0.250 0.750 0.500
Ru: 0.750 0.250 0.500

---

> Which formula does entry 1 have?

Ba5Er2ZrAl2O13